For CrN2, a cell relaxed with PBE gives the simulated powder XRD pattern in this record (Cu Kα (λ = 1.5418 Å)).

The 12 most intense peaks (10° ≤ 2θ ≤ 90°), low angle first:
Position (°2θ)  Rel. int.
25.77  100
31.86  28
32.10  6
37.29  27
42.74  13
45.92  30
56.59  40
57.08  20
67.28  9
78.13  7
82.31  7
86.93  6

Structural model:
```
CrN2
1.0
4.405 0.000 0.000
0.000 5.576 0.000
0.000 0.000 4.818
Cr N
4 8
direct
0.000 0.083 0.250
0.000 0.917 0.750
0.500 0.417 0.750
0.500 0.583 0.250
0.220 0.136 0.575
0.220 0.864 0.075
0.280 0.364 0.075
0.280 0.636 0.575
0.720 0.364 0.425
0.720 0.636 0.925
0.780 0.136 0.925
0.780 0.864 0.425
```

For Ca2Al4Si8H14O31, a cell relaxed with PBE gives the simulated powder XRD pattern in this record (Cu Kα (λ = 1.5418 Å)).

The 12 most intense peaks (10° ≤ 2θ ≤ 90°), low angle first:
Position (°2θ)  Rel. int.
12.86  36
14.06  57
14.98  26
18.41  93
19.86  100
20.92  50
22.07  28
22.41  35
22.60  32
24.25  32
28.62  27
35.92  25

Structural model:
```
Ca2Al4Si8H14O31
1.0
9.109 0.000 0.000
0.072 9.155 0.000
0.873 2.094 9.527
Ca Al Si H O
2 4 8 14 31
direct
0.000 0.000 0.000
0.327 0.973 0.644
0.370 0.220 0.349
0.589 0.531 0.999
0.685 0.189 0.762
0.810 0.642 0.376
0.069 0.480 0.206
0.312 0.402 0.505
0.409 0.978 0.236
0.572 0.766 0.173
0.577 0.507 0.648
0.787 0.955 0.679
0.846 0.446 0.995
0.936 0.874 0.379
0.031 0.493 0.430
0.035 0.777 0.638
0.120 0.323 0.243
0.158 0.595 0.542
0.237 0.846 0.178
0.267 0.928 0.921
0.278 0.564 0.992
0.294 0.564 0.225
0.402 0.266 0.085
0.547 0.637 0.714
0.642 0.027 0.041
0.817 0.078 0.442
0.828 0.705 0.786
0.922 0.335 0.924
0.106 0.886 0.447
0.133 0.776 0.579
0.154 0.494 0.517
0.192 0.947 0.854
0.206 0.602 0.175
0.262 0.952 0.151
0.278 0.220 0.527
0.307 0.505 0.921
0.388 0.418 0.341
0.391 0.185 0.175
0.413 0.026 0.392
0.414 0.455 0.611
0.433 0.421 0.981
0.443 0.788 0.295
0.518 0.690 0.053
0.532 0.074 0.733
0.573 0.963 0.123
0.597 0.936 0.691
0.640 0.369 0.760
0.690 0.549 0.510
0.698 0.386 0.098
0.729 0.703 0.219
0.755 0.085 0.925
0.766 0.585 0.891
0.801 0.942 0.875
0.819 0.971 0.484
0.823 0.136 0.647
0.870 0.792 0.701
0.953 0.984 0.228
0.960 0.506 0.348
0.976 0.514 0.072
```

For K3Ta2Ag3S8, a cell relaxed with PBE gives the simulated powder XRD pattern in this record (Cu Kα (λ = 1.5418 Å)).

The 12 most intense peaks (10° ≤ 2θ ≤ 90°), low angle first:
Position (°2θ)  Rel. int.
12.36  25
14.19  100
15.39  46
16.01  26
16.25  36
25.50  17
26.50  16
31.07  15
33.12  27
34.12  20
41.71  33
42.68  14

Structural model:
```
K3Ta2Ag3S8
1.0
12.557 -3.001 0.000
12.557 3.001 0.000
-7.121 0.000 12.485
K Ta Ag S
6 4 6 16
direct
0.000 0.000 0.000
0.000 0.000 0.500
0.239 0.367 0.898
0.367 0.239 0.398
0.633 0.761 0.602
0.761 0.633 0.102
0.162 0.583 0.221
0.417 0.838 0.279
0.583 0.162 0.721
0.838 0.417 0.779
0.084 0.662 0.714
0.288 0.712 0.250
0.338 0.916 0.786
0.662 0.084 0.214
0.712 0.288 0.750
0.916 0.338 0.286
0.016 0.182 0.884
0.092 0.223 0.683
0.182 0.016 0.384
0.223 0.092 0.183
0.287 0.292 0.610
0.292 0.287 0.110
0.448 0.458 0.847
0.458 0.448 0.347
0.542 0.552 0.653
0.552 0.542 0.153
0.708 0.713 0.890
0.713 0.708 0.390
0.777 0.908 0.817
0.818 0.984 0.616
0.908 0.777 0.317
0.984 0.818 0.116
```

For ThIr2, a cell relaxed with PBE gives the simulated powder XRD pattern in this record (Cu Kα (λ = 1.5418 Å)).

The 12 most intense peaks (10° ≤ 2θ ≤ 90°), low angle first:
Position (°2θ)  Rel. int.
19.93  2
32.83  32
38.71  100
40.50  35
47.11  3
58.61  13
62.55  34
68.83  28
78.38  6
81.87  12
83.02  14
87.62  1

Structural model:
```
ThIr2
1.0
0.000 3.858 3.858
3.858 0.000 3.858
3.858 3.858 0.000
Th Ir
2 4
direct
0.125 0.125 0.125
0.875 0.875 0.875
0.000 0.500 0.500
0.500 0.000 0.500
0.500 0.500 0.000
0.500 0.500 0.500
```

For TiMoAs2, a cell relaxed with PBE gives the simulated powder XRD pattern in this record (Cu Kα (λ = 1.5418 Å)).

The 12 most intense peaks (10° ≤ 2θ ≤ 90°), low angle first:
Position (°2θ)  Rel. int.
13.73  27
31.37  50
33.08  95
39.55  24
40.68  49
41.22  60
42.06  100
44.70  24
46.76  30
50.13  36
53.60  31
81.11  29

Structural model:
```
TiMoAs2
1.0
3.420 0.000 0.000
0.000 6.447 0.000
0.000 0.000 6.112
Ti Mo As
2 2 4
direct
0.000 0.065 0.000
0.000 0.935 0.500
0.500 0.439 0.988
0.500 0.561 0.488
0.000 0.325 0.695
0.000 0.675 0.195
0.500 0.180 0.299
0.500 0.820 0.799
```

For SmTiO3, a cell relaxed with PBE gives the simulated powder XRD pattern in this record (Cu Kα (λ = 1.5418 Å)).

The 12 most intense peaks (10° ≤ 2θ ≤ 90°), low angle first:
Position (°2θ)  Rel. int.
22.51  26
22.83  17
25.28  23
31.12  18
32.28  100
32.96  25
33.22  16
45.96  18
46.63  15
47.50  15
51.94  22
58.42  22

Structural model:
```
SmTiO3
1.0
5.748 0.000 0.000
0.000 7.791 0.000
0.000 0.000 5.436
Sm Ti O
4 4 12
direct
0.066 0.250 0.019
0.434 0.750 0.519
0.566 0.250 0.481
0.934 0.750 0.981
0.000 0.000 0.500
0.000 0.500 0.500
0.500 0.000 0.000
0.500 0.500 0.000
0.035 0.750 0.395
0.202 0.552 0.804
0.202 0.948 0.804
0.298 0.052 0.304
0.298 0.448 0.304
0.465 0.250 0.895
0.535 0.750 0.105
0.702 0.552 0.696
0.702 0.948 0.696
0.798 0.052 0.196
0.798 0.448 0.196
0.965 0.250 0.605
```

For Pd2Cl2O, a cell relaxed with PBE gives the simulated powder XRD pattern in this record (Cu Kα (λ = 1.5418 Å)).

The 12 most intense peaks (10° ≤ 2θ ≤ 90°), low angle first:
Position (°2θ)  Rel. int.
16.28  100
27.54  10
32.15  40
32.90  73
41.20  40
47.36  11
51.68  10
54.19  25
56.84  14
58.27  14
62.42  11
67.26  18

Structural model:
```
Pd2Cl2O
1.0
-3.239 3.239 5.024
3.239 -3.239 5.024
3.239 3.239 -5.024
Pd Cl O
4 4 2
direct
0.000 0.000 0.000
0.000 0.000 0.500
0.000 0.500 0.000
0.500 0.000 0.500
0.170 0.420 0.750
0.420 0.170 0.250
0.580 0.830 0.750
0.830 0.580 0.250
0.125 0.875 0.250
0.875 0.125 0.750
```

For LaNd3, a cell relaxed with PBE gives the simulated powder XRD pattern in this record (Cu Kα (λ = 1.5418 Å)).

The 12 most intense peaks (10° ≤ 2θ ≤ 90°), low angle first:
Position (°2θ)  Rel. int.
29.45  100
33.93  17
34.23  34
48.97  24
49.19  12
57.98  15
58.37  29
61.10  13
79.41  12
79.74  6
81.63  6
82.13  5

Structural model:
```
LaNd3
1.0
-2.620 2.620 5.284
2.620 -2.620 5.284
2.620 2.620 -5.284
La Nd
1 3
direct
0.000 0.000 0.000
0.250 0.750 0.500
0.500 0.500 0.000
0.750 0.250 0.500
```